No. 1
Theoretical XRD peak list of Tm2Nb2O7 for Cu Kα (λ = 1.5418 Å), from a crystal structure in the Materials Project, relaxed with PBE.
No peak broadening, texture or thermal motion is included.

Atomic structure:
a b c (Å): 10.2742 10.2742 10.2742
angles (deg): 90.00 90.00 90.00
Space group Fd-3m (No. 227, origin choice 2)
One atom of each set of equivalent atoms:
Tm (0.0000, 0.0000, 0.0000) (multiplicity 16)
Nb (0.0000, 0.0000, 0.5000) (multiplicity 16)
O (0.0984, 0.3750, 0.8750) (multiplicity 48)
O (0.1250, 0.1250, 0.1250) (multiplicity 8)

Largest 12 diffraction maxima, by angle, 10 to 90 degrees two-theta:
2θ = 14.93°, I 9
2θ = 28.82°, I 4
2θ = 30.13°, I 100
2θ = 34.93°, I 32
2θ = 38.18°, I 6
2θ = 45.90°, I 3
2θ = 50.23°, I 49
2θ = 59.70°, I 43
2θ = 62.64°, I 9
2θ = 73.78°, I 7
2θ = 81.71°, I 17
2θ = 84.31°, I 13



No. 2
Theoretical XRD peak list of UNb3O10 for Cu Kα (λ = 1.5418 Å), from a crystal structure in the Materials Project, relaxed with PBE.
No peak broadening, texture or thermal motion is included.

Atomic structure:
a b c (Å): 7.5255 13.0456 16.1751
angles (deg): 90.00 90.00 90.00
Space group Fddd (No. 70, origin choice 2)
One atom of each set of equivalent atoms:
U (0.1250, 0.1250, 0.1250) (multiplicity 8)
Nb (0.1250, 0.1250, 0.3863) (multiplicity 16)
Nb (0.1250, 0.1250, 0.6250) (multiplicity 8)
O (0.0738, 0.2740, 0.8772) (multiplicity 32)
O (0.1250, 0.1250, 0.0092) (multiplicity 16)
O (0.1250, 0.1250, 0.5011) (multiplicity 16)
O (0.1250, 0.3281, 0.1250) (multiplicity 16)

Largest 12 diffraction maxima, by angle, 10 to 90 degrees two-theta:
2θ = 21.98°, I 58
2θ = 27.36°, I 100
2θ = 35.37°, I 55
2θ = 44.83°, I 12
2θ = 48.36°, I 27
2θ = 53.32°, I 27
2θ = 53.72°, I 26
2θ = 56.45°, I 15
2θ = 61.32°, I 15
2θ = 68.06°, I 17
2θ = 74.82°, I 11
2θ = 81.70°, I 13